Starting from a cell relaxed with GGA-PBE, the powder diffractogram of CrAg was simulated for copper Kα.
Peak positions follow from Bragg's law for the DFT cell and can differ from measured ones.

Top 8 peaks for 2θ = 5–70°, by angle:
28.6°, I 13, (0 0 2); 30.6°, I 12, (1 1 0); 39.1°, I 100, (2 0 2); 40.1°, I 99, (1 1 -2); 40.7°, I 94, (3 1 0); 55.6°, I 15, (2 0 -4); 57.5°, I 13, (6 0 0); 60.3°, I 14, (0 2 0)

```
data_CrAg
_chemical_formula_sum 'Cr6 Ag6'
_cell_length_a 10.165
_cell_length_b 3.071
_cell_length_c 6.611
_cell_angle_alpha 90.00
_cell_angle_beta 108.91
_cell_angle_gamma 90.00
_space_group_name_H-M_alt 'C 1 m 1'
_space_group_IT_number 8
_space_group_name_Hall 'C -2y'
loop_
_atom_site_label
_atom_site_fract_x
_atom_site_fract_y
_atom_site_fract_z
Cr1 0.000 0.000 0.000
Cr2 0.016 0.000 0.469
Cr3 0.387 0.000 0.177
Ag1 0.182 0.500 0.842
Ag2 0.193 0.500 0.302
Ag3 0.355 0.000 0.655
```